# Na3Mn2P2C2O14
Theoretical powder XRD pattern, copper Kα. Input: a GGA+U-relaxed structure.
Peak positions follow from Bragg's law for the DFT cell and can differ from measured ones.

Top 8 peaks for 10 to 90 degrees two-theta, sorted by position:
| 2theta | intensity |
| --- | --- |
| 16.66 | 100.0 |
| 19.89 | 43.1 |
| 25.58 | 77.2 |
| 27.19 | 90.7 |
| 33.73 | 72.7 |
| 34.43 | 48.9 |
| 42.53 | 31.5 |
| 56.09 | 41.1 |

Structural model:
```
Na3Mn2P2C2O14
1.0
8.3394 0.0000 0.0000
-1.9002 8.1990 0.0000
-3.0517 -3.8723 9.1056
Na Mn P C O
6 4 4 4 28
direct
0.0000 0.0000 0.0000
0.0299 0.0318 0.5525
0.2320 0.7431 0.0006
0.4870 0.5506 0.5231
0.7189 0.2850 0.0134
0.7721 0.2667 0.5313
0.2022 0.4531 0.1208
0.3133 0.0657 0.4192
0.7000 0.9540 0.1247
0.8146 0.5701 0.4188
0.0573 0.3046 0.3392
0.4506 0.2006 0.1957
0.5551 0.8225 0.3457
0.9553 0.7180 0.2014
0.0282 0.2947 0.8546
0.4830 0.2452 0.6812
0.5363 0.7814 0.8621
0.9723 0.7271 0.6856
0.0218 0.7775 0.5912
0.0334 0.6163 0.1023
0.0489 0.8043 0.8220
0.1006 0.8592 0.3507
0.1577 0.2118 0.4287
0.1742 0.4348 0.9175
0.1918 0.4317 0.3055
0.3252 0.0638 0.2321
0.3325 0.2635 0.0937
0.3401 0.1024 0.6258
0.4053 0.6825 0.2018
0.4547 0.6896 0.7303
0.4832 0.9423 0.4445
0.4947 0.7480 0.9679
0.5142 0.2842 0.5725
0.5454 0.1001 0.1068
0.5780 0.3300 0.8122
0.5899 0.3522 0.3408
0.6577 0.7414 0.4412
0.6782 0.9281 0.9204
0.6910 0.9510 0.3102
0.8264 0.5871 0.2365
0.8278 0.5822 0.6182
0.8536 0.8107 0.1121
0.9127 0.1652 0.1873
0.9479 0.2121 0.7188
0.9696 0.3996 0.4325
0.9787 0.2502 0.9527
```